Structure and simulated powder X-ray diffraction pattern of NdSi2Mo (a cell relaxed with PBE; a wavelength of 1.5418 Å).

The 10 most intense peaks (5° ≤ 2θ ≤ 70°), low angle first:
- 2θ = 27.02°, rel. 85
- 2θ = 33.78°, rel. 100
- 2θ = 34.83°, rel. 22
- 2θ = 42.92°, rel. 60
- 2θ = 51.45°, rel. 14
- 2θ = 53.68°, rel. 17
- 2θ = 55.70°, rel. 23
- 2θ = 56.41°, rel. 32
- 2θ = 65.59°, rel. 15
- 2θ = 69.18°, rel. 12

Structure:
a = 4.2143 Å, b = 4.2143 Å, c = 15.4570 Å
α = 90.00°, β = 90.00°, γ = 120.00°
Element x y z (fractional)
Nd (0.0000, 0.0000, 0.0000)
Nd (0.3333, 0.6667, 0.6667)
Nd (0.6667, 0.3333, 0.3333)
Si (0.0000, 0.0000, 0.2125)
Si (0.0000, 0.0000, 0.7875)
Si (0.3333, 0.6667, 0.4542)
Si (0.3333, 0.6667, 0.8791)
Si (0.6667, 0.3333, 0.1209)
Si (0.6667, 0.3333, 0.5458)
Mo (0.0000, 0.0000, 0.5000)
Mo (0.3333, 0.6667, 0.1667)
Mo (0.6667, 0.3333, 0.8333)

=====

Structure and simulated powder X-ray diffraction pattern of TbNdMo (a cell relaxed with PBE; a wavelength of 1.5418 Å).

The 10 most intense peaks (5° ≤ 2θ ≤ 70°), low angle first:
- 2θ = 20.45°, rel. 35
- 2θ = 26.58°, rel. 47
- 2θ = 32.95°, rel. 76
- 2θ = 33.37°, rel. 100
- 2θ = 34.25°, rel. 71
- 2θ = 39.97°, rel. 38
- 2θ = 40.33°, rel. 54
- 2θ = 53.07°, rel. 52
- 2θ = 60.96°, rel. 27
- 2θ = 64.48°, rel. 27

Structure:
a = 8.8450 Å, b = 8.5289 Å, c = 4.6622 Å
α = 78.21°, β = 70.72°, γ = 31.06°
Element x y z (fractional)
Tb (0.0920, 0.0920, 0.9080)
Tb (0.9080, 0.9080, 0.0920)
Nd (0.2500, 0.2500, 0.2500)
Nd (0.7500, 0.7500, 0.7500)
Mo (0.3448, 0.6552, 0.3448)
Mo (0.6552, 0.3448, 0.6552)

=====

Structure and simulated powder X-ray diffraction pattern of NiMo2 (a cell relaxed with PBE; a wavelength of 1.5418 Å).

The 10 most intense peaks (5° ≤ 2θ ≤ 70°), low angle first:
- 2θ = 19.89°, rel. 1
- 2θ = 25.10°, rel. 1
- 2θ = 27.69°, rel. 2
- 2θ = 35.97°, rel. 2
- 2θ = 37.44°, rel. 1
- 2θ = 40.64°, rel. 100
- 2θ = 44.12°, rel. 1
- 2θ = 45.94°, rel. 18
- 2θ = 47.93°, rel. 29
- 2θ = 68.57°, rel. 19

Structure:
a = 5.3618 Å, b = 3.9511 Å, c = 8.0613 Å
α = 90.00°, β = 90.00°, γ = 90.00°
Element x y z (fractional)
Ni (0.1164, 0.2500, 0.0847)
Ni (0.3836, 0.7500, 0.5847)
Ni (0.6164, 0.2500, 0.4153)
Ni (0.8836, 0.7500, 0.9153)
Mo (0.1227, 0.2500, 0.4250)
Mo (0.1405, 0.2500, 0.7664)
Mo (0.3595, 0.7500, 0.2664)
Mo (0.3773, 0.7500, 0.9250)
Mo (0.6227, 0.2500, 0.0750)
Mo (0.6405, 0.2500, 0.7336)
Mo (0.8595, 0.7500, 0.2336)
Mo (0.8773, 0.7500, 0.5750)